# 1
For RbTeH6, DFT lattice parameters and positions (GGA-PBE) gives the computed XRD peak list in this record (λ = 1.5418 Å (Cu Kα)).
Neutral-atom scattering factors, no anomalous dispersion.

Cell and atoms:
Cell lengths 8.6826, 5.0013, 6.0589 Å; angles 90.00, 118.61, 90.00 degrees
Space group C2/m (No. 12)
Inequivalent atoms, fractional coordinates:
1 Rb 0.0000 0.0000 0.0000
2 Te 0.0000 0.5000 0.5000
3 H 0.1106 0.5000 0.2991
4 H 0.1558 0.2325 0.7009

Peak list (12 most intense, 10 to 80 degrees two-theta, sorted by position)
index  d [Å]  Rel. int.
2 0 0  3.810  100
1 1 1  2.936  53
0 0 2  2.660  12
0 2 0  2.504  32
2 2 0  2.092  20
4 0 0  1.905  14
3 1 1  1.823  26
2 0 2  1.812  12
5 1 -1  1.606  11
4 2 0  1.517  9
1 1 3  1.498  7
5 1 1  1.266  7

---

# 2
For Ho3ErPd3, DFT lattice parameters and positions (GGA-PBE) gives the computed XRD peak list in this record (λ = 1.5418 Å (Cu Kα)).
Neutral-atom scattering factors, no anomalous dispersion.

Cell and atoms:
Cell lengths 9.8032, 9.8032, 6.0103 Å; angles 90.00, 90.00, 120.00 degrees
Space group R-3m (No. 166, hexagonal axes)
Inequivalent atoms, fractional coordinates:
1 Ho 0.0000 0.5000 0.0000
2 Er 0.0000 0.0000 0.0000
3 Pd 0.0000 0.5000 0.5000

Peak list (12 most intense, 10 to 80 degrees two-theta, sorted by position)
index  d [Å]  Rel. int.
1 0 1  4.904  7
0 2 1  3.467  14
2 1 1  2.831  4
2 2 0  2.452  100
1 3 1  2.193  2
4 0 1  2.002  4
3 2 1  1.853  2
0 4 2  1.734  18
2 4 1  1.551  6
6 0 0  1.416  36
4 3 1  1.360  1
4 4 0  1.226  11

---

# 3
For TcOs2O6, DFT lattice parameters and positions (GGA-PBE) gives the computed XRD peak list in this record (λ = 1.5418 Å (Cu Kα)).
Neutral-atom scattering factors, no anomalous dispersion.

Cell and atoms:
Cell lengths 8.2646, 8.2646, 4.8643 Å; angles 90.00, 90.00, 120.00 degrees
Space group P321 (No. 150)
Inequivalent atoms, fractional coordinates:
1 Tc 0.0000 0.0000 0.0000
2 Tc 0.3333 0.6667 0.4942
3 Os 0.0000 0.3211 0.0000
4 Os 0.0000 0.6557 0.5000
5 O 0.1029 0.8772 0.2553
6 O 0.1093 0.5449 0.2376
7 O 0.2151 0.4388 0.7425

Peak list (12 most intense, 10 to 80 degrees two-theta, sorted by position)
index  d [Å]  Rel. int.
1 1 0  4.132  7
0 1 1  4.023  12
1 1 1  3.149  100
0 0 2  2.432  11
3 0 0  2.386  40
2 2 1  1.902  23
3 1 1  1.838  5
3 0 2  1.703  42
1 1 3  1.509  12
1 4 1  1.487  21
3 3 0  1.377  11
2 2 3  1.276  6

---

# 4
For Tb3Sm2Pt2, DFT lattice parameters and positions (GGA-PBE) gives the computed XRD peak list in this record (λ = 1.5418 Å (Cu Kα)).
Neutral-atom scattering factors, no anomalous dispersion.

Cell and atoms:
Cell lengths 12.4273, 3.7920, 9.1305 Å; angles 90.00, 116.50, 90.00 degrees
Space group C2/m (No. 12)
Inequivalent atoms, fractional coordinates:
1 Tb 0.0000 0.0000 0.0000
2 Tb 0.1153 0.0000 0.4348
3 Sm 0.1625 0.5000 0.8114
4 Pt 0.1707 0.5000 0.2397

Peak list (12 most intense, 10 to 80 degrees two-theta, sorted by position)
index  d [Å]  Rel. int.
2 0 -1  6.011  45
1 1 -2  2.912  87
3 1 -1  2.797  83
2 0 2  2.757  79
3 1 0  2.651  83
3 1 -2  2.642  100
4 0 -3  2.614  54
1 1 2  2.522  66
1 1 -3  2.337  76
0 2 0  1.896  61
7 1 -2  1.605  33
2 2 2  1.562  29

---

# 5
For CoReCl, DFT lattice parameters and positions (GGA-PBE) gives the computed XRD peak list in this record (λ = 1.5418 Å (Cu Kα)).
Neutral-atom scattering factors, no anomalous dispersion.

Cell and atoms:
Cell lengths 2.8314, 4.9729, 12.4857 Å; angles 90.00, 90.00, 90.00 degrees
Space group Fmm2 (No. 42)
Inequivalent atoms, fractional coordinates:
1 Co 0.0000 0.0000 0.0000
2 Re 0.0000 0.0000 0.3438
3 Cl 0.0000 0.0000 0.6589

Peak list (12 most intense, 10 to 80 degrees two-theta, sorted by position)
index  d [Å]  Rel. int.
0 0 2  6.243  89
0 0 4  3.121  18
0 2 0  2.486  41
1 1 1  2.414  35
0 2 2  2.310  16
1 1 3  2.118  100
0 0 6  2.081  23
0 2 4  1.945  10
1 1 5  1.753  16
0 2 6  1.596  19
1 3 3  1.353  23
1 1 9  1.208  14

---

# 6
For Nd3SiAgSe7, DFT lattice parameters and positions (GGA-PBE) gives the computed XRD peak list in this record (λ = 1.5418 Å (Cu Kα)).
Neutral-atom scattering factors, no anomalous dispersion.

Cell and atoms:
Cell lengths 10.7609, 10.7609, 6.0741 Å; angles 90.00, 90.00, 120.00 degrees
Space group P6_3 (No. 173)
Inequivalent atoms, fractional coordinates:
1 Nd 0.1261 0.7687 0.0000
2 Si 0.3333 0.6667 0.4108
3 Ag 0.0000 0.0000 0.0458
4 Se 0.0953 0.8243 0.5161
5 Se 0.1087 0.5219 0.2591
6 Se 0.3333 0.6667 0.7850

Peak list (12 most intense, 10 to 80 degrees two-theta, sorted by position)
index  d [Å]  Rel. int.
2 0 1  3.697  32
0 0 2  3.044  83
1 0 2  2.888  71
3 0 1  2.766  47
2 2 0  2.690  72
3 1 0  2.585  100
2 0 2  2.544  32
1 3 1  2.378  41
2 1 2  2.300  75
2 2 2  2.015  47
3 1 2  1.968  35
1 5 2  1.466  27